Computed PXRD pattern
Compound: NaSrCu
Radiation: copper Kα
Structure: a cell relaxed with GGA-PBE
Intensities are scaled so that the largest is 100.

Principal peaks in the range 2θ = 15–90°, in order of rising 2θ:
2theta, Rel. int.
29.4, 69
30.3, 97
32.1, 100
33.8, 30
36.8, 58
41.5, 67
41.6, 33
42.6, 28
50.0, 28
52.4, 40
60.2, 22
60.3, 21

Structure:
Lattice parameters (Å, degrees): 4.344 20.118 4.337 90.00 90.00 90.00
Fractional coordinates of all 12 atoms:
Na1 0.000 0.204 0.250
Na2 0.000 0.796 0.750
Na3 0.500 0.296 0.750
Na4 0.500 0.704 0.250
Sr1 0.000 0.416 0.250
Sr2 0.000 0.584 0.750
Sr3 0.500 0.084 0.750
Sr4 0.500 0.916 0.250
Cu1 0.000 0.031 0.250
Cu2 0.000 0.969 0.750
Cu3 0.500 0.469 0.750
Cu4 0.500 0.531 0.250

***

Computed PXRD pattern
Compound: La2NdHo12
Radiation: copper Kα
Structure: a cell relaxed with GGA-PBE
Intensities are scaled so that the largest is 100.

Principal peaks in the range 2θ = 15–90°, in order of rising 2θ:
2theta, Rel. int.
30.1, 96
30.2, 51
31.1, 63
31.9, 100
32.2, 50
32.4, 93
33.4, 46
36.1, 33
46.0, 37
59.6, 36
60.7, 29
61.7, 30

Structure:
Lattice parameters (Å, degrees): 6.644 6.644 24.535 92.24 92.24 115.20
Fractional coordinates of all 30 atoms:
La1 0.066 0.066 0.274
La2 0.432 0.432 0.726
La3 0.568 0.568 0.274
La4 0.934 0.934 0.726
Nd1 0.250 0.250 0.000
Nd2 0.750 0.750 0.000
Ho1 0.049 0.549 0.201
Ho2 0.082 0.581 0.332
Ho3 0.140 0.637 0.554
Ho4 0.141 0.141 0.571
Ho5 0.217 0.217 0.864
Ho6 0.233 0.733 0.925
Ho7 0.267 0.767 0.075
Ho8 0.283 0.283 0.136
Ho9 0.356 0.356 0.430
Ho10 0.363 0.860 0.446
Ho11 0.419 0.918 0.668
Ho12 0.451 0.951 0.799
Ho13 0.549 0.049 0.201
Ho14 0.581 0.082 0.332
Ho15 0.637 0.140 0.554
Ho16 0.644 0.644 0.570
Ho17 0.717 0.717 0.864
Ho18 0.733 0.233 0.925
Ho19 0.767 0.267 0.075
Ho20 0.783 0.783 0.136
Ho21 0.859 0.859 0.429
Ho22 0.860 0.363 0.446
Ho23 0.918 0.419 0.668
Ho24 0.951 0.451 0.799

***

Computed PXRD pattern
Compound: Dy12HoSc2
Radiation: copper Kα
Structure: a cell relaxed with GGA-PBE
Intensities are scaled so that the largest is 100.

Principal peaks in the range 2θ = 15–90°, in order of rising 2θ:
2theta, Rel. int.
31.4, 100
32.0, 96
35.2, 62
37.4, 36
51.5, 14
52.3, 40
61.5, 31
61.9, 29
63.7, 14
64.1, 13
65.4, 14
86.2, 12

Structure:
Lattice parameters (Å, degrees): 3.549 4.811 27.553 90.00 93.68 90.00
Fractional coordinates of all 15 atoms:
Dy1 0.032 0.000 0.065
Dy2 0.094 0.000 0.196
Dy3 0.156 0.000 0.320
Dy4 0.223 0.000 0.447
Dy5 0.311 0.500 0.618
Dy6 0.438 0.500 0.869
Dy7 0.562 0.500 0.131
Dy8 0.689 0.500 0.382
Dy9 0.777 0.000 0.553
Dy10 0.844 0.000 0.680
Dy11 0.906 0.000 0.804
Dy12 0.968 0.000 0.935
Ho1 0.500 0.500 0.000
Sc1 0.375 0.500 0.742
Sc2 0.625 0.500 0.258

***

Computed PXRD pattern
Compound: Sm2HoHg3
Radiation: copper Kα
Structure: a cell relaxed with GGA-PBE
Intensities are scaled so that the largest is 100.

Principal peaks in the range 2θ = 15–90°, in order of rising 2θ:
2theta, Rel. int.
23.6, 2
33.6, 100
41.5, 1
48.3, 18
60.0, 10
60.2, 29
70.6, 6
70.8, 6
80.6, 8
80.7, 8
90.0, 1

Structure:
Lattice parameters (Å, degrees): 5.322 5.322 13.084 90.00 90.00 120.00
Fractional coordinates of all 12 atoms:
Sm1 0.000 0.000 0.000
Sm2 0.000 0.000 0.500
Sm3 0.333 0.667 0.169
Sm4 0.667 0.333 0.831
Ho1 0.333 0.667 0.667
Ho2 0.667 0.333 0.333
Hg1 0.000 0.000 0.253
Hg2 0.000 0.000 0.747
Hg3 0.333 0.667 0.418
Hg4 0.333 0.667 0.914
Hg5 0.667 0.333 0.086
Hg6 0.667 0.333 0.582

***

Computed PXRD pattern
Compound: BaCa3F8
Radiation: copper Kα
Structure: a cell relaxed with GGA-PBE
Intensities are scaled so that the largest is 100.

Principal peaks in the range 2θ = 15–90°, in order of rising 2θ:
2theta, Rel. int.
15.5, 22
22.0, 29
27.0, 100
35.1, 23
38.6, 13
44.8, 88
47.7, 9
53.1, 42
65.3, 12
72.0, 16
82.7, 23
88.9, 13

Structure:
Lattice parameters (Å, degrees): 5.719 5.719 5.719 90.00 90.00 90.00
Fractional coordinates of all 12 atoms:
Ba1 0.000 0.000 0.000
Ca1 0.000 0.500 0.500
Ca2 0.500 0.000 0.500
Ca3 0.500 0.500 0.000
F1 0.263 0.263 0.263
F2 0.263 0.263 0.737
F3 0.263 0.737 0.263
F4 0.263 0.737 0.737
F5 0.737 0.263 0.263
F6 0.737 0.263 0.737
F7 0.737 0.737 0.263
F8 0.737 0.737 0.737

***

Computed PXRD pattern
Compound: TbTh2Se5
Radiation: copper Kα
Structure: a cell relaxed with GGA-PBE
Intensities are scaled so that the largest is 100.

Principal peaks in the range 2θ = 15–90°, in order of rising 2θ:
2theta, Rel. int.
21.7, 46
23.8, 59
25.4, 30
26.0, 34
31.7, 26
32.5, 43
34.1, 100
36.0, 35
39.3, 43
43.6, 42
44.4, 36
60.8, 24

Structure:
Lattice parameters (Å, degrees): 8.201 12.619 4.080 90.00 90.00 90.00
Fractional coordinates of all 16 atoms:
Tb1 0.000 0.000 0.000
Tb2 0.500 0.500 0.000
Th1 0.018 0.322 0.500
Th2 0.482 0.822 0.500
Th3 0.518 0.178 0.500
Th4 0.982 0.678 0.500
Se1 0.000 0.500 0.000
Se2 0.169 0.106 0.500
Se3 0.186 0.805 0.000
Se4 0.314 0.305 0.000
Se5 0.331 0.606 0.500
Se6 0.500 0.000 0.000
Se7 0.669 0.394 0.500
Se8 0.686 0.695 0.000
Se9 0.814 0.195 0.000
Se10 0.831 0.894 0.500